# Tm3Sc4
Calculated XRD peak list, Cu Kα (weighted mean of Kα1 and Kα2). Input: a GGA-PBE-relaxed structure.
Peak positions follow from Bragg's law for the DFT cell and can differ from measured ones.

Principal peaks in the range 10° ≤ 2θ ≤ 90°, in order of rising 2θ:
hkl	2θ/deg	I_rel
2 0 0	16.99	17.8
2 0 1	22.19	11.5
1 1 -1	23.09	19.1
1 1 -2	30.66	9.8
1 1 2	32.66	100.0
0 2 0	37.74	33.8
4 0 1	38.19	16.2
2 2 -3	54.44	11.4
4 2 1	54.80	17.0
1 3 2	64.94	19.9

Cell and atoms:
```
Tm3Sc4
1.0
10.5525 0.0000 0.0000
0.0000 4.7668 0.0000
-1.1112 0.0000 7.4518
Tm Sc
6 8
Cartesian
0.0000 0.0000 0.0000 Tm
-0.0144 2.3834 5.3272 Tm
4.1794 0.0000 2.1246 Tm
5.2762 2.3834 0.0000 Tm
5.2619 0.0000 5.3272 Tm
9.4556 2.3834 2.1246 Tm
1.0405 0.0000 3.2230 Sc
2.0921 2.3834 1.0915 Sc
2.0730 0.0000 6.3602 Sc
3.1245 2.3834 4.2288 Sc
6.3168 2.3834 3.2230 Sc
7.3683 0.0000 1.0915 Sc
7.3492 2.3834 6.3602 Sc
8.4007 0.0000 4.2288 Sc
```